# 1
The following is a simulated XRD peak list of Nb3Cu2Te6. It was derived from DFT lattice parameters and positions (PBE), using λ = 1.5418 Å (Cu Kα).
Kinematic intensities with the Lorentz-polarization factor, no thermal factor.

Lattice parameters (Å, degrees): 6.923 7.996 11.754 79.69 76.00 65.53
Space group P-1 (No. 2)
Unique sites:
Nb: 0.109 0.105 0.406
Nb: 0.125 0.512 0.286
Nb: 0.386 0.198 0.723
Cu: 0.174 0.417 0.037
Cu: 0.199 0.603 0.697
Te: 0.033 0.245 0.908
Te: 0.221 0.326 0.522
Te: 0.254 0.918 0.639
Te: 0.255 0.724 0.401
Te: 0.342 0.157 0.188
Te: 0.460 0.447 0.842

Main lines, sorted by position (10 to 90 degrees two-theta):
Position (°2θ)	d_spacing	I/Imax	hkl
31.3	2.854	100	2 0 -1
34.2	2.622	58	2 1 -2
36.1	2.488	44	2 1 4
36.2	2.482	46	2 3 1
36.6	2.455	59	1 -2 2
36.9	2.436	49	2 3 2
37.3	2.408	41	0 3 1
38.4	2.345	55	1 1 -4
39.2	2.298	46	0 3 2
45.7	1.987	48	3 1 4

# 2
The following is a simulated XRD peak list of Ti2NbCu2. It was derived from DFT lattice parameters and positions (PBE), using λ = 1.5418 Å (Cu Kα).
Kinematic intensities with the Lorentz-polarization factor, no thermal factor.

Lattice parameters (Å, degrees): 7.316 7.316 2.872 90.00 90.00 90.00
Space group P4/mbm (No. 127)
Unique sites:
Ti: 0.176 0.324 0.000
Nb: 0.000 0.000 0.500
Cu: 0.120 0.620 0.500

Main lines, sorted by position (10 to 90 degrees two-theta):
Position (°2θ)	d_spacing	I/Imax	hkl
31.1	2.872	21	0 0 1
34.7	2.587	28	2 2 0
38.9	2.314	96	3 1 0
39.9	2.259	57	2 0 1
41.9	2.158	100	2 1 1
44.7	2.029	23	3 2 0
50.7	1.802	31	3 1 1
65.0	1.435	23	0 0 2
73.8	1.284	28	5 1 1
78.4	1.220	25	3 1 2

# 3
The following is a simulated XRD peak list of Ti2NbCu2. It was derived from DFT lattice parameters and positions (PBE), using λ = 1.5418 Å (Cu Kα).
Kinematic intensities with the Lorentz-polarization factor, no thermal factor.

Lattice parameters (Å, degrees): 3.819 14.115 2.876 90.00 90.00 90.00
Space group Cmmm (No. 65)
Unique sites:
Ti: 0.000 0.118 0.000
Nb: 0.000 0.500 0.500
Cu: 0.000 0.301 0.500

Main lines, sorted by position (10 to 90 degrees two-theta):
Position (°2θ)	d_spacing	I/Imax	hkl
24.1	3.687	9	1 1 0
31.1	2.876	10	0 0 1
39.7	2.269	100	1 5 0
40.5	2.230	27	0 4 1
47.6	1.910	17	2 0 0
51.3	1.782	13	1 5 1
64.2	1.450	13	2 4 1
73.0	1.295	8	1 9 1
78.8	1.215	13	1 5 2
83.3	1.160	10	3 5 0

# 4
The following is a simulated XRD peak list of TiNbCu. It was derived from DFT lattice parameters and positions (PBE), using λ = 1.5418 Å (Cu Kα).
Kinematic intensities with the Lorentz-polarization factor, no thermal factor.

Lattice parameters (Å, degrees): 2.808 4.446 7.642 90.00 95.91 90.00
Space group P2_1/m (No. 11)
Unique sites:
Ti: 0.008 0.250 0.212
Nb: 0.323 0.750 0.422
Cu: 0.443 0.250 0.910

Main lines, sorted by position (10 to 90 degrees two-theta):
Position (°2θ)	d_spacing	I/Imax	hkl
23.2	3.838	7	0 1 1
38.0	2.369	33	1 0 -2
40.6	2.223	29	0 2 0
41.0	2.203	100	0 1 3
43.3	2.092	8	1 1 -2
56.8	1.621	16	1 2 -2
61.8	1.501	6	1 0 4
74.1	1.280	8	1 3 1
74.1	1.279	8	0 3 3
76.6	1.244	6	1 2 4

# 5
The following is a simulated XRD peak list of TiNb2Cu. It was derived from DFT lattice parameters and positions (PBE), using λ = 1.5418 Å (Cu Kα).
Kinematic intensities with the Lorentz-polarization factor, no thermal factor.

Lattice parameters (Å, degrees): 3.315 3.315 6.012 90.00 90.00 90.00
Space group P4mm (No. 99)
Unique sites:
Ti: 0.000 0.000 0.000
Nb: 0.000 0.000 0.504
Nb: 0.500 0.500 0.252
Cu: 0.500 0.500 0.757

Main lines, sorted by position (10 to 90 degrees two-theta):
Position (°2θ)	d_spacing	I/Imax	hkl
14.7	6.012	9	0 0 1
30.8	2.903	7	1 0 1
38.4	2.344	58	1 1 0
40.5	2.227	100	1 0 2
55.4	1.658	19	2 0 0
61.7	1.503	7	0 0 4
70.9	1.330	35	2 1 2
75.1	1.265	15	1 1 4
82.2	1.172	6	2 2 0
87.6	1.113	10	2 0 4

# 6
The following is a simulated XRD peak list of Nb2ZnCu3. It was derived from DFT lattice parameters and positions (PBE), using λ = 1.5418 Å (Cu Kα).
Kinematic intensities with the Lorentz-polarization factor, no thermal factor.

Lattice parameters (Å, degrees): 4.9888 4.9888 7.9602 90.00 90.00 120.00
Space group P6_3/mmc (No. 194)
Unique sites:
Nb: 0.3333 0.6667 0.0594
Zn: 0.0000 0.0000 0.0000
Cu: 0.1706 0.3413 0.7500

Main lines, sorted by position (10 to 90 degrees two-theta):
Position (°2θ)	d_spacing	I/Imax	hkl
36.0	2.494	39	1 1 0
39.9	2.261	70	1 0 3
42.8	2.114	100	1 1 2
43.4	2.085	70	2 0 1
45.6	1.990	15	0 0 4
67.3	1.391	25	2 1 3
69.4	1.354	22	3 0 2
74.0	1.282	26	2 0 5
76.4	1.247	23	2 2 0
89.8	1.092	13	3 1 3